# Ba3ReSb2O9
Theoretical X-ray diffraction stick pattern, Cu Kα (λ = 1.5418 Å). Input: a DFT-relaxed cell (PBE, OQMD).
Neutral-atom scattering factors, no anomalous dispersion.

Structural model:
```
data_Ba3ReSb2O9
_chemical_formula_sum 'Ba6 Re2 Sb4 O18'
_symmetry_space_group_name_H-M 'P -3 c 1'
_symmetry_Int_Tables_number 165
_symmetry_space_group_name_Hall '-P 3 2"c'
_cell_length_a 6.1307
_cell_length_b 6.1307
_cell_length_c 14.4997
_cell_angle_alpha 90.00
_cell_angle_beta 90.00
_cell_angle_gamma 120.00
loop_
_atom_site_label
_atom_site_type_symbol
_atom_site_fract_x
_atom_site_fract_y
_atom_site_fract_z
Ba1 Ba 0.0000 0.0000 0.2500
Ba2 Ba 0.3333 0.6667 0.0783
Re1 Re 0.0000 0.0000 0.0000
Sb1 Sb 0.3333 0.6667 0.3305
O1 O 0.0000 0.4605 0.2500
O2 O 0.0794 0.2894 0.9223
```

Principal peaks in the range 10° ≤ 2θ ≤ 90°, by intensity:
(hkl)  2θ/deg  d (Å)  I_rel
1 1 0  29.1  3.065  100
0 1 4  29.8  2.994  96
2 0 4  42.2  2.142  53
1 2 4  52.1  1.756  42
3 0 0  51.6  1.770  23
1 0 8  53.4  1.715  19
2 1 8  69.9  1.345  18
3 1 4  68.8  1.364  18
0 2 8  62.0  1.497  17
2 2 0  60.4  1.533  16